# 1
Structure and computed PXRD pattern of Ce2Sm5Y6 (a DFT-relaxed cell (GGA-PBE, Alexandria); Cu Kα X-rays).
Neutral-atom scattering factors, no anomalous dispersion.

Atomic structure:
```
26
Lattice="11.7033 0.0000 0.0000 0.0000 20.5791 0.0000 0.0000 0.0000 3.5913" Properties=species:S:1:pos:R:3 pbc="T T T"
Ce 2.0293 4.4444 0.0000
Ce 3.8223 14.7340 0.0000
Ce 7.8810 5.8451 0.0000
Ce 9.6740 16.1347 0.0000
Sm 0.0000 10.2896 1.7957
Sm 0.9659 16.0056 1.7957
Sm 2.3435 1.1216 1.7957
Sm 3.5082 11.4111 1.7957
Sm 4.8858 5.7160 1.7957
Sm 5.8517 0.0000 1.7957
Sm 6.8175 14.8631 1.7957
Sm 8.1951 9.1680 1.7957
Sm 9.3599 19.4575 1.7957
Sm 10.7375 4.5736 1.7957
Y 0.7276 18.9890 0.0000
Y 0.9252 13.0640 0.0000
Y 2.0975 7.5524 1.7957
Y 3.7542 17.8420 1.7957
Y 4.9264 2.7744 0.0000
Y 5.1241 8.6995 0.0000
Y 6.5793 11.8797 0.0000
Y 6.7769 17.8047 0.0000
Y 7.9491 2.7372 1.7957
Y 9.6059 13.0267 1.7957
Y 10.7781 7.5152 0.0000
Y 10.9757 1.5901 0.0000
```

Principal peaks in the range 10 to 90 degrees two-theta, by angle:
2theta, I_rel
30.9, 50.3
31.3, 100.0
32.0, 73.6
34.1, 28.5
34.8, 19.7
36.4, 26.0
50.8, 17.4
60.7, 17.0

=====

# 2
Structure and computed PXRD pattern of TbDyBeRh (a DFT-relaxed cell (GGA-PBE, Alexandria); Cu Kα X-rays).
Neutral-atom scattering factors, no anomalous dispersion.

Atomic structure:
```
4
Lattice="0.0000 3.4357 3.4357 3.4357 0.0000 3.4357 3.4357 3.4357 0.0000" Properties=species:S:1:pos:R:3 pbc="T T T"
Tb 0.0000 0.0000 0.0000
Dy 3.4357 3.4357 3.4357
Be 1.7178 1.7178 1.7178
Rh 5.1535 5.1535 5.1535
```

Principal peaks in the range 10 to 90 degrees two-theta, by angle:
2theta, I_rel
22.4, 13.1
25.9, 28.5
37.0, 100.0
45.7, 8.5
53.3, 17.4
60.2, 11.4
66.7, 35.5
78.8, 11.1

=====

# 3
Structure and computed PXRD pattern of Nd2Ni2Pt (a DFT-relaxed cell (GGA-PBE, Alexandria); Cu Kα X-rays).
Neutral-atom scattering factors, no anomalous dispersion.

Atomic structure:
```
5
Lattice="-2.1018 2.9087 4.0637 2.1018 -2.9087 4.0637 2.1018 2.9087 -4.0637" Properties=species:S:1:pos:R:3 pbc="T T T"
Nd 0.0000 0.0000 1.7497
Nd 0.0000 0.0000 6.3776
Ni 2.1018 1.2070 0.0000
Ni 0.0000 1.7017 4.0637
Pt 0.0000 2.9087 0.0000
```

Principal peaks in the range 10 to 90 degrees two-theta, by angle:
2theta, I_rel
30.7, 18.9
34.3, 100.0
36.6, 19.6
39.3, 39.1
43.0, 21.0
44.6, 13.1
57.0, 13.1
70.0, 16.4

=====

# 4
Structure and computed PXRD pattern of Sm2AlBRh6 (a DFT-relaxed cell (GGA-PBE, Alexandria); Cu Kα X-rays).
Neutral-atom scattering factors, no anomalous dispersion.

Atomic structure:
```
10
Lattice="-3.1019 3.1097 4.3907 3.1019 -3.1097 4.3907 3.1019 3.1097 -4.3907" Properties=species:S:1:pos:R:3 pbc="T T T"
Sm 0.0000 0.0000 2.1958
Sm 0.0000 0.0000 6.5855
Al 0.0000 3.1097 0.0000
B 3.1019 0.0000 0.0000
Rh 1.6489 1.4557 0.0000
Rh 3.1019 0.0000 2.0554
Rh 4.5549 1.4557 0.0000
Rh -1.4530 1.6541 4.3907
Rh 0.0000 3.1097 2.3353
Rh 1.4530 1.6541 4.3907
```

Principal peaks in the range 10 to 90 degrees two-theta, by angle:
2theta, I_rel
35.4, 100.0
41.1, 56.9
59.5, 30.3
59.6, 6.0
71.2, 23.6
71.3, 11.8
74.8, 5.9
75.0, 5.9

=====

# 5
Structure and computed PXRD pattern of P5Ir (a DFT-relaxed cell (GGA-PBE, Alexandria); Cu Kα X-rays).
Neutral-atom scattering factors, no anomalous dispersion.

Atomic structure:
```
6
Lattice="5.9868 -1.6003 0.0000 5.9868 1.6003 0.0000 -2.1028 0.0000 6.5427" Properties=species:S:1:pos:R:3 pbc="T T T"
P 0.0000 0.0000 0.0000
P 2.0717 0.0000 0.7956
P 0.8795 0.0000 5.3651
P 5.3659 0.0000 2.7525
P 9.9185 0.0000 3.3546
Ir 5.0942 0.0000 5.1529
```

Principal peaks in the range 10 to 90 degrees two-theta, by angle:
2theta, I_rel
13.5, 96.1
15.5, 100.0
17.2, 82.5
33.1, 26.8
36.7, 40.2
38.4, 27.3
41.4, 27.1
41.9, 26.0

=====

# 6
Structure and computed PXRD pattern of Ge8H (a DFT-relaxed cell (GGA-PBE, Alexandria); Cu Kα X-rays).
Neutral-atom scattering factors, no anomalous dispersion.

Atomic structure:
```
9
Lattice="5.8978 0.0000 0.0000 0.1255 5.9125 0.0000 0.1922 0.1859 5.9285" Properties=species:S:1:pos:R:3 pbc="T T T"
Ge 0.0000 0.0000 0.0000
Ge 6.0567 2.9991 3.0207
Ge 1.4316 4.2493 1.2956
Ge 1.6970 1.6625 4.5297
Ge 3.2539 3.0886 5.9283
Ge 3.3287 0.3189 3.2329
Ge 4.7573 4.5666 4.5295
Ge 4.6028 1.5705 1.5099
H 2.4448 5.2424 2.2600
```

Principal peaks in the range 10 to 90 degrees two-theta, by angle:
2theta, I_rel
25.4, 63.6
26.3, 100.0
26.5, 50.6
42.5, 47.0
42.9, 22.9
43.8, 27.3
44.0, 54.1
51.3, 27.7

=====

# 7
Structure and computed PXRD pattern of Ho3Al7Ir4 (a DFT-relaxed cell (GGA-PBE, Alexandria); Cu Kα X-rays).
Neutral-atom scattering factors, no anomalous dispersion.

Atomic structure:
```
14
Lattice="7.6388 -2.1277 0.0000 7.6388 2.1277 0.0000 -5.3817 0.0000 7.7625" Properties=species:S:1:pos:R:3 pbc="T T T"
Ho 0.0000 0.0000 0.0000
Ho 3.0622 0.0000 2.3173
Ho 6.8336 0.0000 5.4452
Al -2.6908 0.0000 3.8812
Al 0.1405 0.0000 3.2641
Al -0.4324 0.0000 7.5814
Al 3.7530 0.0000 5.4873
Al 6.1429 0.0000 2.2752
Al 10.3283 0.0000 0.1811
Al 9.7554 0.0000 4.4984
Ir -2.7990 0.0000 6.4437
Ir 1.2652 0.0000 5.5900
Ir 8.6307 0.0000 2.1725
Ir 12.6949 0.0000 1.3188
```

Principal peaks in the range 10 to 90 degrees two-theta, by angle:
2theta, I_rel
22.9, 62.5
26.7, 66.4
27.3, 46.3
29.9, 66.4
34.9, 50.8
35.5, 92.1
36.3, 100.0
42.5, 70.0

=====

# 8
Structure and computed PXRD pattern of MgCuTc2 (a DFT-relaxed cell (GGA-PBE, Alexandria); Cu Kα X-rays).
Neutral-atom scattering factors, no anomalous dispersion.

Atomic structure:
```
4
Lattice="-2.1584 2.1584 3.0997 2.1584 -2.1584 3.0997 2.1584 2.1584 -3.0997" Properties=species:S:1:pos:R:3 pbc="T T T"
Mg 0.0000 0.0000 0.0000
Cu 0.0000 2.1584 1.5498
Tc 2.1584 0.0000 1.5498
Tc 0.0000 0.0000 3.0997
```

Principal peaks in the range 10 to 90 degrees two-theta, by angle:
2theta, I_rel
25.1, 29.3
41.5, 100.0
41.9, 48.8
49.4, 9.1
59.7, 8.2
60.7, 15.6
75.5, 15.9
76.2, 31.0

=====

# 9
Structure and computed PXRD pattern of Rb2Pd3Se2 (a DFT-relaxed cell (GGA-PBE, Alexandria); Cu Kα X-rays).
Neutral-atom scattering factors, no anomalous dispersion.

Atomic structure:
```
28
Lattice="0.0000 7.8762 12.4563 4.0293 0.0000 12.4563 4.0293 7.8762 0.0000" Properties=species:S:1:pos:R:3 pbc="T T T"
Rb 3.0389 11.8483 15.5573
Rb 5.0198 3.9042 9.3552
Rb 7.0344 7.8423 15.5573
Rb 5.0198 7.9102 9.3292
Rb 1.0243 3.9042 9.3292
Rb 7.0344 11.8483 15.5833
Rb 3.0389 7.8423 15.5833
Rb 1.0243 7.9102 9.3552
Pd 0.0000 0.0000 0.0000
Pd 2.0147 3.9381 0.0000
Pd 2.0147 0.0000 6.2281
Pd 2.7521 4.5078 6.2336
Pd 3.2919 7.3065 6.2336
Pd 3.2919 4.5078 12.4508
Pd 5.3066 8.4459 12.4617
Pd 0.0000 3.9381 6.2281
Pd 2.7521 7.3065 12.4508
Pd 4.7668 11.2446 12.4617
Pd 4.7668 8.4459 18.6789
Pd 5.3066 11.2446 18.6789
Se 2.9800 2.1534 6.9461
Se 3.0640 2.1534 11.7383
Se 5.0787 6.0915 13.1742
Se 4.9947 6.0915 17.9664
Se 3.0640 9.6609 6.9461
Se 2.9800 9.6609 11.7383
Se 4.9947 13.5990 13.1742
Se 5.0787 13.5990 17.9664
```

Principal peaks in the range 10 to 90 degrees two-theta, by angle:
2theta, I_rel
14.2, 100.0
22.6, 31.3
28.7, 68.3
30.9, 40.7
32.6, 36.4
36.8, 39.8
41.0, 23.0
43.6, 26.1